Starting from a structure optimized by DFT (PBE), the PXRD pattern of Tl2Cu3Cl9 was simulated for copper Kα.
No peak broadening, texture or thermal motion is included.

Crystal structure
Cell lengths 8.1413, 8.1413, 14.0617 Å; angles 90.00, 90.00, 120.00 degrees
Space group P6_3/m (No. 176)
One atom of each set of equivalent atoms:
Tl 0.3333 0.6667 0.0020 (multiplicity 4)
Cu 0.0045 0.7540 0.7500 (multiplicity 6)
Cl 0.0045 0.6595 0.5989 (multiplicity 12)
Cl 0.0055 0.7046 0.2500 (multiplicity 6)

Most intense lines, 10 to 80 degrees two-theta, by angle:
hkl, 2θ/deg, I (rel.)
0 0 2, 12.57, 16
1 0 2, 17.82, 60
0 0 4, 25.29, 100
1 1 4, 33.67, 32
2 0 4, 36.07, 15
3 0 0, 38.30, 31
3 0 2, 40.51, 16
1 1 6, 44.61, 26
2 2 2, 46.46, 25
4 1 4, 66.33, 15